# 1
Diffraction record for Zn2Cd5Ag. The powder XRD pattern is simulated, not measured: it uses a structure optimized by DFT (PBE) and Cu Kα X-rays.

Largest 10 diffraction maxima, in order of falling intensity, 2θ = 10–90°:
2θ (°), d/Å, Rel. int.
38.79, 2.321, 100
34.55, 2.596, 70
64.74, 1.440, 41
49.66, 1.836, 25
72.89, 1.298, 22
83.22, 1.161, 20
85.75, 1.133, 9
61.94, 1.498, 6
17.08, 5.193, 4
24.24, 3.672, 2

Crystal structure
abc: 5.995 5.995 5.995
angles: 104.46 104.46 120.03
Element x y z (fractional)
Zn (0.000, 0.500, 0.500)
Zn (0.500, 0.000, 0.500)
Cd (0.000, 0.000, 0.000)
Cd (0.000, 0.000, 0.500)
Cd (0.000, 0.500, 0.000)
Cd (0.500, 0.000, 0.000)
Cd (0.500, 0.500, 0.500)
Ag (0.500, 0.500, 0.000)


# 2
Diffraction record for Li6MgCd8. The powder XRD pattern is simulated, not measured: it uses a structure optimized by DFT (PBE) and Cu Kα X-rays.

Largest 10 diffraction maxima, in order of falling intensity, 2θ = 10–90°:
2θ (°), d/Å, Rel. int.
37.02, 2.429, 100
14.35, 6.170, 91
27.89, 3.199, 84
38.00, 2.368, 71
23.62, 3.766, 71
37.79, 2.380, 63
36.86, 2.438, 53
44.35, 2.043, 34
67.95, 1.379, 25
16.70, 5.309, 24

Crystal structure
abc: 7.533 7.533 7.533
angles: 59.57 59.57 59.57
Element x y z (fractional)
Li (0.044, 0.527, 0.288)
Li (0.288, 0.044, 0.527)
Li (0.473, 0.712, 0.956)
Li (0.527, 0.288, 0.044)
Li (0.712, 0.956, 0.473)
Li (0.956, 0.473, 0.712)
Mg (0.000, 0.000, 0.000)
Cd (0.132, 0.651, 0.834)
Cd (0.166, 0.868, 0.349)
Cd (0.349, 0.166, 0.868)
Cd (0.406, 0.406, 0.406)
Cd (0.594, 0.594, 0.594)
Cd (0.651, 0.834, 0.132)
Cd (0.834, 0.132, 0.651)
Cd (0.868, 0.349, 0.166)


# 3
Diffraction record for TbAl10Rh2. The powder XRD pattern is simulated, not measured: it uses a structure optimized by DFT (PBE) and Cu Kα X-rays.

Largest 10 diffraction maxima, in order of falling intensity, 2θ = 10–90°:
2θ (°), d/Å, Rel. int.
27.71, 3.219, 100
40.26, 2.240, 96
40.40, 2.233, 85
39.86, 2.261, 79
39.69, 2.271, 72
17.27, 5.135, 64
34.15, 2.626, 58
39.31, 2.292, 57
16.25, 5.455, 51
36.74, 2.446, 49

Crystal structure
abc: 6.843 6.843 9.167
angles: 90.00 90.00 97.27
Element x y z (fractional)
Tb (0.128, 0.872, 0.750)
Tb (0.872, 0.128, 0.250)
Al (0.142, 0.405, 0.750)
Al (0.153, 0.847, 0.102)
Al (0.153, 0.847, 0.398)
Al (0.221, 0.221, 0.000)
Al (0.221, 0.221, 0.500)
Al (0.224, 0.480, 0.250)
Al (0.378, 0.622, 0.551)
Al (0.378, 0.622, 0.949)
Al (0.405, 0.142, 0.250)
Al (0.480, 0.224, 0.750)
Al (0.520, 0.776, 0.250)
Al (0.595, 0.858, 0.750)
Al (0.622, 0.378, 0.051)
Al (0.622, 0.378, 0.449)
Al (0.776, 0.520, 0.750)
Al (0.779, 0.779, 0.000)
Al (0.779, 0.779, 0.500)
Al (0.847, 0.153, 0.602)
Al (0.847, 0.153, 0.898)
Al (0.858, 0.595, 0.250)
Rh (0.000, 0.500, 0.000)
Rh (0.000, 0.500, 0.500)
Rh (0.500, 0.000, 0.000)
Rh (0.500, 0.000, 0.500)


# 4
Diffraction record for Ba3SrSi2. The powder XRD pattern is simulated, not measured: it uses a structure optimized by DFT (PBE) and Cu Kα X-rays.

Largest 10 diffraction maxima, in order of falling intensity, 2θ = 10–90°:
2θ (°), d/Å, Rel. int.
26.42, 3.373, 100
28.49, 3.133, 72
33.42, 2.681, 63
27.09, 3.292, 43
31.23, 2.864, 32
21.55, 4.123, 24
51.64, 1.770, 23
20.47, 4.338, 19
47.98, 1.896, 18
34.11, 2.629, 17

Crystal structure
abc: 5.364 10.161 8.338
angles: 90.00 90.00 90.00
Element x y z (fractional)
Ba (0.000, 0.081, 0.000)
Ba (0.000, 0.334, 0.371)
Ba (0.000, 0.666, 0.871)
Ba (0.000, 0.919, 0.500)
Ba (0.500, 0.169, 0.665)
Ba (0.500, 0.831, 0.165)
Sr (0.500, 0.415, 0.035)
Sr (0.500, 0.585, 0.535)
Si (0.000, 0.354, 0.776)
Si (0.000, 0.646, 0.276)
Si (0.500, 0.151, 0.261)
Si (0.500, 0.849, 0.761)


# 5
Diffraction record for Pr2Y6Ho3Sc. The powder XRD pattern is simulated, not measured: it uses a structure optimized by DFT (PBE) and Cu Kα X-rays.

Largest 10 diffraction maxima, in order of falling intensity, 2θ = 10–90°:
2θ (°), d/Å, Rel. int.
30.79, 2.904, 100
35.70, 2.515, 50
61.11, 1.516, 38
51.38, 1.778, 35
86.50, 1.125, 10
83.88, 1.153, 10
64.16, 1.452, 9
83.77, 1.155, 7
75.62, 1.258, 5
86.60, 1.124, 5

Crystal structure
abc: 6.157 6.157 11.808
angles: 94.97 94.97 119.98
Element x y z (fractional)
Pr (0.166, 0.834, 0.000)
Pr (0.834, 0.166, 0.000)
Y (0.087, 0.417, 0.749)
Y (0.253, 0.253, 0.252)
Y (0.417, 0.087, 0.749)
Y (0.583, 0.913, 0.251)
Y (0.747, 0.747, 0.748)
Y (0.913, 0.583, 0.251)
Ho (0.000, 0.000, 0.500)
Ho (0.334, 0.666, 0.500)
Ho (0.666, 0.334, 0.500)
Sc (0.500, 0.500, 0.000)


# 6
Diffraction record for Nd8Pt3CI4. The powder XRD pattern is simulated, not measured: it uses a structure optimized by DFT (PBE) and Cu Kα X-rays.

Largest 10 diffraction maxima, in order of falling intensity, 2θ = 10–90°:
2θ (°), d/Å, Rel. int.
28.63, 3.118, 100
42.93, 2.107, 38
38.86, 2.318, 25
11.06, 8.001, 22
52.41, 1.746, 18
35.94, 2.499, 14
69.99, 1.344, 14
30.78, 2.905, 11
86.34, 1.127, 9
48.62, 1.873, 8

Crystal structure
abc: 9.364 9.364 9.364
angles: 53.49 53.49 53.49
Element x y z (fractional)
Nd (0.229, 0.229, 0.229)
Nd (0.249, 0.715, 0.715)
Nd (0.285, 0.285, 0.751)
Nd (0.285, 0.751, 0.285)
Nd (0.715, 0.249, 0.715)
Nd (0.715, 0.715, 0.249)
Nd (0.751, 0.285, 0.285)
Nd (0.771, 0.771, 0.771)
Pt (0.000, 0.000, 0.500)
Pt (0.000, 0.500, 0.000)
Pt (0.500, 0.000, 0.000)
C (0.500, 0.500, 0.500)
I (0.000, 0.000, 0.000)
I (0.000, 0.500, 0.500)
I (0.500, 0.000, 0.500)
I (0.500, 0.500, 0.000)